Entry 1:
Structure and simulated powder diffractogram of LiThAs2 (a cell relaxed with PBE; Cu Ka).

Main lines, low angle first (10° ≤ 2θ ≤ 90°):
5.144 Å, 17.24°, rel. 349, hkl 0 0 2; 3.792 Å, 23.46°, rel. 613, hkl 1 0 1; 3.196 Å, 27.91°, rel. 415, hkl 1 0 2; 2.884 Å, 31.00°, rel. 321, hkl 1 1 0; 2.625 Å, 34.16°, rel. 374, hkl 1 0 3; 2.516 Å, 35.69°, rel. 1000, hkl 1 1 2; 2.176 Å, 41.51°, rel. 306, hkl 1 0 4; 2.040 Å, 44.42°, rel. 375, hkl 2 0 0; 1.488 Å, 62.41°, rel. 186, hkl 2 1 4; 1.251 Å, 76.07°, rel. 227, hkl 3 1 2

Structural model:
```
data_LiThAs2
_cell_length_a 4.0793
_cell_length_b 4.0793
_cell_length_c 10.2881
_cell_angle_alpha 90.00
_cell_angle_beta 90.00
_cell_angle_gamma 90.00
_space_group_name_H-M_alt 'P 4/n m m'
_space_group_IT_number 129
loop_
_space_group_symop_operation_xyz
'x,y,z'
'-x,-y,-z'
'-y+1/2,x,z'
'y+1/2,-x,-z'
'-x+1/2,-y+1/2,z'
'x+1/2,y+1/2,-z'
'y,-x+1/2,z'
'-y,x+1/2,-z'
'x+1/2,-y,-z'
'-x+1/2,y,z'
'-y,-x,-z'
'y,x,z'
'-x,y+1/2,-z'
'x,-y+1/2,z'
'y+1/2,x+1/2,-z'
'-y+1/2,-x+1/2,z'
loop_
_atom_site_label
_atom_site_type_symbol
_atom_site_fract_x
_atom_site_fract_y
_atom_site_fract_z
Li1 Li 0.2500 0.7500 0.0000
Th1 Th 0.2500 0.2500 0.2810
As1 As 0.2500 0.2500 0.8349
As2 As 0.2500 0.7500 0.5000
```



Entry 2:
Structure and simulated powder diffractogram of LiTl2As (a cell relaxed with PBE; Cu Ka).

Main lines, low angle first (10° ≤ 2θ ≤ 90°):
7.994 Å, 11.07°, rel. 328, hkl 0 0 1; 3.499 Å, 25.45°, rel. 1000, hkl 0 1 1; 2.992 Å, 29.86°, rel. 671, hkl 1 0 1; 2.788 Å, 32.10°, rel. 754, hkl 0 1 2; 2.665 Å, 33.63°, rel. 419, hkl 0 0 3; 2.510 Å, 35.77°, rel. 566, hkl 1 0 2; 2.484 Å, 36.16°, rel. 864, hkl 1 1 0; 1.817 Å, 50.21°, rel. 551, hkl 1 1 3; 1.631 Å, 56.40°, rel. 232, hkl 1 2 1; 1.538 Å, 60.16°, rel. 256, hkl 1 2 2

Structural model:
```
data_LiTl2As
_cell_length_a 3.2263
_cell_length_b 3.8921
_cell_length_c 7.9937
_cell_angle_alpha 90.00
_cell_angle_beta 90.00
_cell_angle_gamma 90.00
_space_group_name_H-M_alt 'P m m 2'
_space_group_IT_number 25
_space_group_name_Hall 'P 2 -2'
loop_
_atom_site_label
_atom_site_type_symbol
_atom_site_fract_x
_atom_site_fract_y
_atom_site_fract_z
Li1 Li 0.0000 0.0000 0.0000
Tl1 Tl 0.0000 0.0000 0.6197
Tl2 Tl 0.5000 0.5000 0.2695
As1 As 0.5000 0.5000 0.8817
```



Entry 3:
Structure and simulated powder diffractogram of Li4TlAs2 (a cell relaxed with PBE; Cu Ka).

Main lines, low angle first (10° ≤ 2θ ≤ 90°):
3.752 Å, 23.71°, rel. 157, hkl 1 0 1; 3.259 Å, 27.36°, rel. 1000, hkl 1 0 3; 3.102 Å, 28.78°, rel. 196, hkl 0 0 6; 2.709 Å, 33.07°, rel. 340, hkl 1 1 0; 2.670 Å, 33.57°, rel. 216, hkl 1 0 5; 2.601 Å, 34.49°, rel. 126, hkl 1 1 2; 2.040 Å, 44.40°, rel. 275, hkl 1 1 6; 1.915 Å, 47.47°, rel. 139, hkl 2 0 0; 1.820 Å, 50.12°, rel. 131, hkl 1 0 9; 1.651 Å, 55.66°, rel. 279, hkl 2 1 3

Structural model:
```
data_Li4TlAs2
_cell_length_a 3.8306
_cell_length_b 3.8306
_cell_length_c 18.6147
_cell_angle_alpha 90.00
_cell_angle_beta 90.00
_cell_angle_gamma 90.00
_space_group_name_H-M_alt 'I 4/m m m'
_space_group_IT_number 139
_space_group_name_Hall '-I 4 2'
loop_
_atom_site_label
_atom_site_type_symbol
_atom_site_fract_x
_atom_site_fract_y
_atom_site_fract_z
Li1 Li 0.0000 0.0000 0.1462
Li2 Li 0.0000 0.5000 0.2500
Tl1 Tl 0.0000 0.0000 0.0000
As1 As 0.0000 0.0000 0.3512
```



Entry 4:
Structure and simulated powder diffractogram of Li7VAs4 (a cell relaxed with PBE; Cu Ka).

Main lines, low angle first (10° ≤ 2θ ≤ 90°):
5.360 Å, 16.54°, rel. 87, hkl 0 0 2; 5.272 Å, 16.82°, rel. 92, hkl 1 1 -1; 3.468 Å, 25.69°, rel. 1000, hkl 3 1 -2; 2.984 Å, 29.94°, rel. 88, hkl 4 0 0; 2.131 Å, 42.42°, rel. 188, hkl 2 2 -4; 2.125 Å, 42.54°, rel. 190, hkl 4 2 0; 2.116 Å, 42.74°, rel. 200, hkl 6 0 -4; 1.821 Å, 50.08°, rel. 123, hkl 1 3 2; 1.809 Å, 50.44°, rel. 136, hkl 1 1 -6; 1.803 Å, 50.64°, rel. 141, hkl 5 1 2

Structural model:
```
data_Li7VAs4
_cell_length_a 13.3637
_cell_length_b 6.0546
_cell_length_c 11.9975
_cell_angle_alpha 90.00
_cell_angle_beta 116.72
_cell_angle_gamma 90.00
_space_group_name_H-M_alt 'C 1 2/c 1'
_space_group_IT_number 15
_space_group_name_Hall '-C 2yc'
loop_
_atom_site_label
_atom_site_type_symbol
_atom_site_fract_x
_atom_site_fract_y
_atom_site_fract_z
Li1 Li 0.0000 0.2394 0.2500
Li2 Li 0.0012 0.2502 0.0082
Li3 Li 0.2405 0.2278 0.1218
Li4 Li 0.2501 0.2267 0.3767
V1 V 0.0000 0.2602 0.7500
As1 As 0.1174 0.0376 0.6936
As2 As 0.1169 0.4831 0.9238
```